No. 1
Structure and calculated powder XRD pattern of Pm4ErTh3Se8 (a DFT-relaxed cell (PBE, Alexandria); Cu Kα (weighted mean of Kα1 and Kα2)).
Intensities are scaled so that the largest is 100.

Cell and atoms:
abc: 8.3905 8.3905 8.3905
angles: 59.54 59.54 59.54
Positions (direct):
Pm 0.0000 0.0000 0.0000
Pm 0.0000 0.5000 0.5000
Pm 0.5000 0.0000 0.5000
Pm 0.5000 0.5000 0.0000
Er 0.5000 0.5000 0.5000
Th 0.0000 0.0000 0.5000
Th 0.0000 0.5000 0.0000
Th 0.5000 0.0000 0.0000
Se 0.2515 0.2515 0.2515
Se 0.2551 0.2551 0.7427
Se 0.2551 0.7427 0.2551
Se 0.2573 0.7449 0.7449
Se 0.7427 0.2551 0.2551
Se 0.7449 0.2573 0.7449
Se 0.7449 0.7449 0.2573
Se 0.7485 0.7485 0.7485

The 10 most intense peaks (2θ = 10–90°), low angle first:
- 2θ = 26.17°, I 20
- 2θ = 30.23°, I 100
- 2θ = 43.13°, I 38
- 2θ = 43.44°, I 37
- 2θ = 51.28°, I 7
- 2θ = 53.84°, I 20
- 2θ = 62.88°, I 12
- 2θ = 71.12°, I 17
- 2θ = 71.57°, I 17
- 2θ = 79.51°, I 13


No. 2
Structure and calculated powder XRD pattern of Ce2Te (a DFT-relaxed cell (PBE, Alexandria); Cu Kα (weighted mean of Kα1 and Kα2)).
Intensities are scaled so that the largest is 100.

Cell and atoms:
abc: 4.4684 4.3159 8.9683
angles: 90.00 92.01 90.00
Positions (direct):
Ce 0.1989 0.2500 0.0108
Ce 0.2466 0.7500 0.3589
Ce 0.7534 0.2500 0.6411
Ce 0.8011 0.7500 0.9892
Te 0.2592 0.7500 0.7192
Te 0.7408 0.2500 0.2808

The 10 most intense peaks (2θ = 10–90°), low angle first:
- 2θ = 28.74°, I 59
- 2θ = 29.91°, I 78
- 2θ = 30.25°, I 88
- 2θ = 30.72°, I 76
- 2θ = 34.76°, I 67
- 2θ = 35.58°, I 100
- 2θ = 40.40°, I 45
- 2θ = 41.86°, I 47
- 2θ = 52.30°, I 33
- 2θ = 59.58°, I 29


No. 3
Structure and calculated powder XRD pattern of TiTl2As2O6 (a DFT-relaxed cell (PBE, Alexandria); Cu Kα (weighted mean of Kα1 and Kα2)).
Intensities are scaled so that the largest is 100.

Cell and atoms:
abc: 5.3314 5.3314 7.4545
angles: 104.15 104.15 64.07
Positions (direct):
Ti 0.0000 0.0000 0.0000
Tl 0.2224 0.2224 0.6655
Tl 0.7776 0.7776 0.3345
As 0.3976 0.3976 0.2374
As 0.6024 0.6024 0.7626
O 0.2253 0.2253 0.0453
O 0.2439 0.7336 0.8086
O 0.2664 0.7561 0.1914
O 0.7336 0.2439 0.8086
O 0.7561 0.2664 0.1914
O 0.7747 0.7747 0.9547

The 10 most intense peaks (2θ = 10–90°), low angle first:
- 2θ = 20.81°, I 41
- 2θ = 24.14°, I 34
- 2θ = 24.95°, I 28
- 2θ = 27.00°, I 52
- 2θ = 28.85°, I 100
- 2θ = 31.64°, I 47
- 2θ = 33.90°, I 79
- 2θ = 42.07°, I 32
- 2θ = 48.70°, I 26
- 2θ = 54.61°, I 27